# 1
Diffraction record for Al4Co2Ru. The XRD peak list is calculated, not measured: it uses a GGA-PBE-relaxed structure and λ = 1.5418 Å (Cu Kα).
Neutral-atom scattering factors, no anomalous dispersion.

Top 10 peaks for 5 to 70 degrees two-theta, in order of falling intensity:
- 2θ = 43.94°, I 100
- 2θ = 44.96°, I 89
- 2θ = 13.59°, I 58
- 2θ = 25.37°, I 38
- 2θ = 31.03°, I 35
- 2θ = 64.68°, I 29
- 2θ = 41.04°, I 22
- 2θ = 34.01°, I 21
- 2θ = 46.21°, I 16
- 2θ = 54.77°, I 6

Atomic structure:
```
Al4Co2Ru
1.0
2.060 1.190 6.517
-2.060 1.190 6.517
0.000 -2.379 6.517
Al Co Ru
4 2 1
Cartesian
0.000 0.000 2.287
0.000 0.000 7.234
0.000 0.000 12.317
0.000 0.000 17.264
0.000 0.000 4.830
0.000 0.000 14.721
0.000 0.000 9.776
```

# 2
Diffraction record for Y3AlCoS7. The XRD peak list is calculated, not measured: it uses a GGA-PBE-relaxed structure and λ = 1.5418 Å (Cu Kα).
Neutral-atom scattering factors, no anomalous dispersion.

Top 10 peaks for 5 to 70 degrees two-theta, in order of falling intensity:
- 2θ = 25.96°, I 100
- 2θ = 36.36°, I 61
- 2θ = 37.72°, I 59
- 2θ = 35.71°, I 53
- 2θ = 49.55°, I 46
- 2θ = 17.95°, I 40
- 2θ = 41.14°, I 40
- 2θ = 10.71°, I 40
- 2θ = 32.13°, I 34
- 2θ = 42.07°, I 29

Atomic structure:
```
Y3AlCoS7
1.0
9.540 0.000 0.000
-4.770 8.262 0.000
0.000 0.000 6.166
Y Al Co S
6 2 2 14
Cartesian
-0.302 3.095 0.000
-1.939 6.977 0.000
2.529 1.809 3.083
2.241 6.453 0.000
6.709 1.286 3.083
5.073 5.167 3.083
0.000 5.508 2.623
4.770 2.754 5.706
0.000 0.000 2.115
0.000 0.000 5.198
-1.867 4.691 1.682
-0.144 1.837 3.685
-3.108 7.468 3.685
1.519 1.043 0.602
0.000 5.508 4.860
1.641 4.300 1.682
0.226 7.533 1.682
4.544 0.729 4.765
3.129 3.963 4.765
4.770 2.754 1.777
3.251 7.219 3.685
7.878 0.794 0.602
4.914 6.426 0.602
6.637 3.571 4.765
```

# 3
Diffraction record for ScAl4Co5. The XRD peak list is calculated, not measured: it uses a GGA-PBE-relaxed structure and λ = 1.5418 Å (Cu Kα).
Neutral-atom scattering factors, no anomalous dispersion.

Top 10 peaks for 5 to 70 degrees two-theta, in order of falling intensity:
- 2θ = 43.94°, I 100
- 2θ = 44.19°, I 54
- 2θ = 30.85°, I 17
- 2θ = 64.28°, I 16
- 2θ = 30.51°, I 7
- 2θ = 63.51°, I 7
- 2θ = 54.65°, I 5
- 2θ = 39.66°, I 4
- 2θ = 48.77°, I 3
- 2θ = 36.04°, I 2

Atomic structure:
```
ScAl4Co5
1.0
2.898 0.000 0.000
0.000 2.898 0.000
0.000 0.000 14.648
Sc Al Co
1 4 5
Cartesian
0.000 0.000 0.000
0.000 0.000 3.060
0.000 0.000 5.908
0.000 0.000 8.741
0.000 0.000 11.589
1.449 1.449 1.685
1.449 1.449 4.503
1.449 1.449 7.324
1.449 1.449 10.145
1.449 1.449 12.963
```

# 4
Diffraction record for Sc2Al9Co3. The XRD peak list is calculated, not measured: it uses a GGA-PBE-relaxed structure and λ = 1.5418 Å (Cu Kα).
Neutral-atom scattering factors, no anomalous dispersion.

Top 10 peaks for 5 to 70 degrees two-theta, in order of falling intensity:
- 2θ = 42.86°, I 100
- 2θ = 38.69°, I 66
- 2θ = 43.20°, I 48
- 2θ = 31.51°, I 44
- 2θ = 39.67°, I 40
- 2θ = 47.51°, I 33
- 2θ = 19.54°, I 33
- 2θ = 38.56°, I 32
- 2θ = 47.17°, I 30
- 2θ = 24.48°, I 27

Atomic structure:
```
Sc2Al9Co3
1.0
6.282 -3.664 0.000
6.282 3.664 0.000
0.000 0.000 9.088
Sc Al Co
4 18 6
Cartesian
4.261 2.443 6.816
8.304 2.443 6.816
4.261 -2.443 2.272
8.304 -2.443 2.272
2.138 1.209 5.214
2.138 1.209 8.418
6.282 2.807 2.272
6.282 1.250 4.979
6.282 1.250 8.653
2.138 -1.209 0.670
2.138 -1.209 3.874
4.891 0.364 2.272
4.891 -0.364 6.816
7.673 0.364 2.272
7.673 -0.364 6.816
10.427 1.209 5.214
10.427 1.209 8.418
6.282 -1.250 0.435
6.282 -1.250 4.109
6.282 -2.807 6.816
10.427 -1.209 0.670
10.427 -1.209 3.874
0.000 0.000 0.000
0.000 0.000 4.544
4.129 0.000 0.000
4.129 0.000 4.544
8.435 0.000 0.000
8.435 0.000 4.544
```

# 5
Diffraction record for Sc6AlCo2. The XRD peak list is calculated, not measured: it uses a GGA-PBE-relaxed structure and λ = 1.5418 Å (Cu Kα).
Neutral-atom scattering factors, no anomalous dispersion.

Top 10 peaks for 5 to 70 degrees two-theta, in order of falling intensity:
- 2θ = 38.32°, I 100
- 2θ = 34.92°, I 88
- 2θ = 37.77°, I 85
- 2θ = 14.34°, I 82
- 2θ = 37.16°, I 79
- 2θ = 41.64°, I 57
- 2θ = 38.51°, I 48
- 2θ = 44.17°, I 37
- 2θ = 42.83°, I 36
- 2θ = 65.71°, I 31

Atomic structure:
```
Sc6AlCo2
1.0
-4.337 4.396 4.636
4.337 -4.396 4.636
4.337 4.396 -4.636
Sc Al Co
12 2 4
Cartesian
4.337 2.613 -2.414
2.444 1.627 0.000
6.231 1.627 0.000
1.688 4.396 -1.636
2.649 0.000 3.000
0.000 1.783 2.222
4.337 2.613 2.414
1.688 4.396 1.636
2.649 0.000 6.271
-1.894 2.768 4.636
1.894 2.768 4.636
0.000 1.783 7.050
0.000 0.000 0.000
0.000 0.000 4.636
4.337 0.000 1.127
0.000 2.962 0.000
0.000 5.829 0.000
0.000 4.396 3.509
```

# 6
Diffraction record for ScAlCoTc. The XRD peak list is calculated, not measured: it uses a GGA-PBE-relaxed structure and λ = 1.5418 Å (Cu Kα).
Neutral-atom scattering factors, no anomalous dispersion.

Top 8 peaks for 5 to 70 degrees two-theta, in order of falling intensity:
- 2θ = 41.56°, I 100
- 2θ = 29.06°, I 20
- 2θ = 60.23°, I 16
- 2θ = 25.09°, I 9
- 2θ = 68.24°, I 7
- 2θ = 51.51°, I 5
- 2θ = 49.16°, I 4
- 2θ = 66.28°, I 2

Atomic structure:
```
ScAlCoTc
1.0
0.000 3.073 3.073
3.073 0.000 3.073
3.073 3.073 0.000
Sc Al Co Tc
1 1 1 1
Cartesian
0.000 0.000 0.000
3.073 3.073 3.073
4.610 4.610 4.610
1.537 1.537 1.537
```

# 7
Diffraction record for Al3Co3Si4. The XRD peak list is calculated, not measured: it uses a GGA-PBE-relaxed structure and λ = 1.5418 Å (Cu Kα).
Neutral-atom scattering factors, no anomalous dispersion.

Top 10 peaks for 5 to 70 degrees two-theta, in order of falling intensity:
- 2θ = 47.61°, I 100
- 2θ = 26.95°, I 57
- 2θ = 38.48°, I 36
- 2θ = 55.56°, I 19
- 2θ = 69.62°, I 18
- 2θ = 21.94°, I 18
- 2θ = 41.71°, I 15
- 2θ = 62.81°, I 7
- 2θ = 53.00°, I 6
- 2θ = 44.74°, I 6

Atomic structure:
```
Al3Co3Si4
1.0
-4.052 4.052 4.052
4.052 -4.052 4.052
4.052 4.052 -4.052
Al Co Si
6 6 8
Cartesian
4.052 2.026 0.000
4.052 0.000 2.026
2.026 4.052 0.000
2.026 0.000 4.052
0.000 4.052 2.026
0.000 2.026 4.052
2.714 0.000 0.000
5.389 0.000 0.000
0.000 2.714 0.000
0.000 0.000 2.714
0.000 5.389 0.000
0.000 0.000 5.389
1.309 1.309 -1.309
2.743 2.743 -2.743
1.309 -1.309 1.309
2.743 -2.743 2.743
-1.309 1.309 1.309
1.309 1.309 1.309
-2.743 2.743 2.743
2.743 2.743 2.743
```

# 8
Diffraction record for Al3Co3Si. The XRD peak list is calculated, not measured: it uses a GGA-PBE-relaxed structure and λ = 1.5418 Å (Cu Kα).
Neutral-atom scattering factors, no anomalous dispersion.

Top 10 peaks for 5 to 70 degrees two-theta, in order of falling intensity:
- 2θ = 45.22°, I 100
- 2θ = 46.07°, I 94
- 2θ = 22.17°, I 33
- 2θ = 66.53°, I 30
- 2θ = 22.56°, I 28
- 2θ = 31.84°, I 19
- 2θ = 39.38°, I 14
- 2θ = 38.66°, I 7
- 2θ = 39.61°, I 6
- 2θ = 51.69°, I 6

Atomic structure:
```
Al3Co3Si
1.0
3.941 2.275 1.652
-3.941 2.275 1.652
0.000 -4.550 1.652
Al Co Si
3 3 1
Cartesian
-1.970 -1.138 1.652
-1.970 1.138 3.304
0.000 2.275 1.652
-3.941 0.000 2.478
-1.970 1.138 0.826
1.970 1.138 0.826
0.000 0.000 0.000
```

# 9
Diffraction record for Al2Co2Si. The XRD peak list is calculated, not measured: it uses a GGA-PBE-relaxed structure and λ = 1.5418 Å (Cu Kα).
Neutral-atom scattering factors, no anomalous dispersion.

Top 10 peaks for 5 to 70 degrees two-theta, in order of falling intensity:
- 2θ = 45.49°, I 100
- 2θ = 46.61°, I 79
- 2θ = 17.95°, I 45
- 2θ = 26.41°, I 34
- 2θ = 67.17°, I 29
- 2θ = 32.11°, I 23
- 2θ = 50.33°, I 16
- 2θ = 62.77°, I 6
- 2θ = 54.36°, I 4
- 2θ = 57.72°, I 4

Atomic structure:
```
Al2Co2Si
1.0
3.897 0.000 0.000
-1.949 3.375 0.000
0.000 0.000 4.942
Al Co Si
2 2 1
Cartesian
0.000 2.250 1.763
1.949 1.125 3.179
0.000 2.250 4.256
1.949 1.125 0.686
0.000 0.000 0.000
```